VF5: theoretical powder diffraction line list (a wavelength of 1.5418 Å), based on a crystal structure in Alexandria, relaxed with GGA+U.
Kinematic intensities with the Lorentz-polarization factor, no thermal factor.

Most intense lines, 5° ≤ 2θ ≤ 70°, by intensity:
2θ (°)	I (rel.)	h k l
22.42	100	1 1 1
20.27	64	0 2 0
14.95	46	0 1 1
27.78	45	1 0 2
49.29	30	2 1 3
41.20	24	0 4 0
22.10	18	0 0 2
56.43	12	1 5 1
48.37	9	1 0 4
56.57	9	3 0 2

Atomic structure:
```
VF5
1.0
5.337 0.000 0.000
0.000 8.764 0.000
0.000 0.000 8.044
V F
4 20
Cartesian
1.286 2.191 0.577
1.383 6.573 4.599
3.954 2.191 3.445
4.051 6.573 7.466
0.130 2.191 4.308
0.280 2.191 7.205
0.314 6.573 6.313
1.256 0.442 0.840
1.256 3.940 0.840
1.412 4.824 4.862
1.412 8.322 4.862
2.354 2.191 2.291
2.389 6.573 3.183
2.539 6.573 0.287
2.798 2.191 7.757
2.948 2.191 4.860
2.982 6.573 5.753
3.925 0.442 3.181
3.925 3.940 3.181
4.081 4.824 7.203
4.081 8.322 7.203
5.023 2.191 1.731
5.057 6.573 0.838
5.207 6.573 3.735
```